Starting from a structure optimized by DFT (GGA-PBE), the powder diffraction line list of Na3La2B3O9 was calculated for copper Kα.
Kinematic intensities with the Lorentz-polarization factor, no thermal factor.

Top 8 peaks for 2θ from 10° to 80°, sorted by position:
15.6 deg, I 82
17.1 deg, I 100
23.2 deg, I 57
28.9 deg, I 53
29.8 deg, I 68
33.8 deg, I 72
34.6 deg, I 43
44.0 deg, I 42

Cell and atoms:
```
Na3La2B3O9
1.0
5.1874 0.0000 0.0000
0.0000 5.6943 3.6794
0.0000 -5.6943 3.6794
Na La B O
3 2 3 9
Direct
0.0000 0.0000 0.0000
0.0000 0.4136 0.4136
0.5000 0.6623 0.6623
0.5000 0.0749 0.5002
0.5000 0.5002 0.0749
0.0000 0.3942 0.8264
0.0000 0.8264 0.3942
0.5000 0.0585 0.0585
0.0000 0.0183 0.3655
0.0000 0.3655 0.0183
0.2334 0.4154 0.7355
0.2334 0.7355 0.4154
0.5000 0.0719 0.8615
0.5000 0.2491 0.2491
0.5000 0.8615 0.0719
0.7666 0.4154 0.7355
0.7666 0.7355 0.4154
```

***

Starting from a structure optimized by DFT (GGA-PBE), the powder diffraction line list of La2Ho6Zn was calculated for copper Kα.
Kinematic intensities with the Lorentz-polarization factor, no thermal factor.

Top 8 peaks for 2θ from 10° to 80°, sorted by position:
26.1 deg, I 9
30.9 deg, I 12
32.2 deg, I 100
32.3 deg, I 59
32.8 deg, I 46
36.2 deg, I 9
46.5 deg, I 19
58.1 deg, I 25

Cell and atoms:
```
La2Ho6Zn
1.0
9.6901 0.0000 0.0000
0.0000 10.2199 0.0000
0.0000 0.0000 5.4700
La Ho Zn
4 12 2
Direct
0.1830 0.2429 0.0000
0.3170 0.7429 0.5000
0.6830 0.2571 0.5000
0.8170 0.7571 0.0000
0.0100 0.1867 0.5000
0.1378 0.6000 0.0000
0.1929 0.9209 0.0000
0.3071 0.4209 0.5000
0.3622 0.1000 0.5000
0.4900 0.6867 0.0000
0.5100 0.3133 0.0000
0.6378 0.9000 0.5000
0.6929 0.5791 0.5000
0.8071 0.0791 0.0000
0.8622 0.4000 0.0000
0.9900 0.8133 0.5000
0.0000 0.5000 0.5000
0.5000 0.0000 0.0000
```

***

Starting from a structure optimized by DFT (GGA-PBE), the powder diffraction line list of Ce2Pr2Pd15 was calculated for copper Kα.
Kinematic intensities with the Lorentz-polarization factor, no thermal factor.

Top 8 peaks for 2θ from 10° to 80°, sorted by position:
33.4 deg, I 47
33.7 deg, I 33
38.0 deg, I 35
38.6 deg, I 100
38.8 deg, I 73
42.9 deg, I 30
43.4 deg, I 79
70.1 deg, I 32

Cell and atoms:
```
Ce2Pr2Pd15
1.0
4.6475 2.6832 4.7315
-4.6475 2.6832 4.7315
0.0000 -5.3665 4.7315
Ce Pr Pd
2 2 15
Direct
0.1043 0.1043 0.1043
0.8957 0.8957 0.8957
0.3615 0.3615 0.3615
0.6385 0.6385 0.6385
0.0000 0.0000 0.5000
0.0000 0.3130 0.6870
0.0000 0.5000 0.0000
0.0000 0.6870 0.3130
0.1615 0.6548 0.6548
0.3130 0.0000 0.6870
0.3130 0.6870 0.0000
0.3452 0.3452 0.8385
0.3452 0.8385 0.3452
0.5000 0.0000 0.0000
0.6548 0.1615 0.6548
0.6548 0.6548 0.1615
0.6870 0.0000 0.3130
0.6870 0.3130 0.0000
0.8385 0.3452 0.3452
```